The following is a simulated PXRD pattern of K3MoP2O8. It was derived from a PBE+U-relaxed structure, using a wavelength of 1.5418 Å.

Crystal structure
Cell lengths 5.5604, 5.5604, 7.7691 Å; angles 90.00, 90.00, 120.00 degrees
Space group P-3m1 (No. 164)
Unique sites:
K: 0.0000 0.0000 0.0000 (multiplicity 1)
K: 0.3333 0.6667 0.7387 (multiplicity 2)
Mo: 0.0000 0.0000 0.5000 (multiplicity 1)
P: 0.3333 0.6667 0.2681 (multiplicity 2)
O: 0.1804 0.3607 0.3356 (multiplicity 6)
O: 0.3333 0.6667 0.0726 (multiplicity 2)

Main lines, most intense first (2θ from 10° to 90°):
2θ = 29.55°, 3.023 Å, intensity 100, (1 0 2); 2θ = 32.20°, 2.780 Å, intensity 83, (1 1 0); 2θ = 44.26°, 2.046 Å, intensity 45, (2 0 2); 2θ = 11.39°, 7.769 Å, intensity 35, (0 0 1); 2θ = 21.71°, 4.093 Å, intensity 32, (1 0 1); 2θ = 55.78°, 1.648 Å, intensity 26, (1 2 2); 2θ = 57.92°, 1.592 Å, intensity 26, (1 1 4); 2θ = 67.36°, 1.390 Å, intensity 15, (2 2 0)